# Cs5RhO4
Calculated powder diffractogram, Cu Kα (weighted mean of Kα1 and Kα2). Input: a DFT-relaxed cell (GGA-PBE, Alexandria).
Intensities are scaled so that the largest is 100.

Structural model:
```
data_Cs5RhO4
_cell_length_a 20.7699
_cell_length_b 3.6764
_cell_length_c 7.7146
_cell_angle_alpha 90.00
_cell_angle_beta 99.81
_cell_angle_gamma 90.00
_symmetry_space_group_name_H-M 'C 1 2/m 1'
_symmetry_Int_Tables_number 12
loop_
_symmetry_equiv_pos_as_xyz
'x,y,z'
'-x,-y,-z'
'-x,y,-z'
'x,-y,z'
'x+1/2,y+1/2,z'
'-x+1/2,-y+1/2,-z'
'-x+1/2,y+1/2,-z'
'x+1/2,-y+1/2,z'
loop_
_atom_site_label
_atom_site_fract_x
_atom_site_fract_y
_atom_site_fract_z
Cs1 0.0000 0.0000 0.0000
Cs2 0.1340 0.5000 0.3267
Cs3 0.1340 0.5000 0.7976
Rh1 0.0000 0.0000 0.5000
O1 0.0000 0.5000 0.3265
O2 0.1035 0.0000 0.5479
```

Main lines, sorted by position (5° ≤ 2θ ≤ 70°):
Position (°2θ)	I/Imax	index
8.64	96	2 0 0
17.33	29	4 0 0
26.12	27	6 0 0
26.37	54	2 0 2
26.73	58	4 0 -2
27.56	100	3 1 0
32.74	30	5 1 0
33.68	100	1 1 -2
35.08	40	8 0 0
49.14	29	7 1 2

=====

# InHSe2
Calculated powder diffractogram, Cu Kα (weighted mean of Kα1 and Kα2). Input: a DFT-relaxed cell (GGA-PBE, Alexandria).
Intensities are scaled so that the largest is 100.

Structural model:
```
data_InHSe2
_cell_length_a 6.9287
_cell_length_b 10.8801
_cell_length_c 5.6637
_cell_angle_alpha 90.00
_cell_angle_beta 90.00
_cell_angle_gamma 90.00
_symmetry_space_group_name_H-M 'I m a 2'
_symmetry_Int_Tables_number 46
loop_
_symmetry_equiv_pos_as_xyz
'x,y,z'
'-x,-y,z'
'-x+1/2,y,z'
'x+1/2,-y,z'
'x+1/2,y+1/2,z+1/2'
'-x+1/2,-y+1/2,z+1/2'
'-x,y+1/2,z+1/2'
'x,-y+1/2,z+1/2'
loop_
_atom_site_label
_atom_site_fract_x
_atom_site_fract_y
_atom_site_fract_z
In1 0.0000 0.0000 0.0000
H1 0.2500 0.0226 0.4678
Se1 0.2500 0.1259 0.2779
Se2 0.2500 0.6247 0.2584
```

Main lines, sorted by position (5° ≤ 2θ ≤ 70°):
Position (°2θ)	I/Imax	index
16.29	42	0 2 0
17.65	58	0 1 1
26.10	100	1 2 1
29.24	22	0 3 1
31.37	38	2 1 1
41.17	42	2 0 2
42.24	40	2 4 0
44.57	19	0 5 1
45.58	21	3 2 1
46.28	30	0 4 2

=====

Which formula does entry 2 have? InHSe2